No. 1
Diffraction record for Zn4B2O7. The powder diffraction line list is simulated, not measured: it uses a structure optimized by DFT (GGA-PBE) and Cu Kα X-rays.
No peak broadening, texture or thermal motion is included.

Atomic structure:
```
Zn4B2O7
1.0
7.172 -4.154 0.000
7.172 4.154 0.000
-4.617 0.000 8.860
Zn B O
12 6 21
Direct
0.080 0.080 0.359
0.129 0.660 0.338
0.207 0.533 0.804
0.340 0.871 0.662
0.462 0.374 0.163
0.467 0.793 0.196
0.552 0.160 0.829
0.626 0.538 0.837
0.697 0.042 0.335
0.840 0.448 0.171
0.920 0.920 0.641
0.958 0.303 0.665
0.020 0.501 0.499
0.039 0.483 0.001
0.499 0.980 0.501
0.517 0.961 0.999
0.540 0.460 0.500
0.936 0.064 0.000
0.025 0.335 0.505
0.041 0.642 0.632
0.057 0.469 0.864
0.080 0.041 0.676
0.178 0.506 0.133
0.358 0.959 0.368
0.373 0.627 0.500
0.469 0.003 0.635
0.471 0.421 0.833
0.494 0.822 0.867
0.527 0.124 0.001
0.531 0.943 0.136
0.567 0.322 0.366
0.579 0.529 0.167
0.665 0.975 0.495
0.678 0.433 0.634
0.867 0.003 0.861
0.876 0.473 0.999
0.959 0.920 0.324
0.997 0.133 0.139
0.997 0.531 0.365
```

Principal peaks in the range 2θ from 10° to 90°, low angle first:
2θ 14.06, intensity 100; 2θ 20.04, intensity 53; 2θ 21.43, intensity 80; 2θ 25.61, intensity 74; 2θ 28.06, intensity 71; 2θ 28.34, intensity 99; 2θ 29.73, intensity 90; 2θ 33.64, intensity 86; 2θ 42.73, intensity 69; 2θ 56.18, intensity 43

***

No. 2
Diffraction record for Zn3B2O6. The powder diffraction line list is simulated, not measured: it uses a structure optimized by DFT (GGA-PBE) and Cu Kα X-rays.
No peak broadening, texture or thermal motion is included.

Atomic structure:
```
Zn3B2O6
1.0
6.451 0.000 0.000
2.560 8.014 0.000
0.049 0.031 10.128
Zn B O
12 8 24
Direct
0.017 0.290 0.418
0.106 0.067 0.157
0.224 0.105 0.677
0.250 0.402 0.077
0.439 0.717 0.179
0.479 0.721 0.661
0.521 0.279 0.339
0.561 0.283 0.821
0.750 0.598 0.923
0.776 0.895 0.323
0.894 0.933 0.843
0.983 0.710 0.582
0.157 0.577 0.326
0.182 0.587 0.825
0.337 0.899 0.916
0.337 0.934 0.412
0.663 0.066 0.588
0.663 0.101 0.084
0.818 0.413 0.175
0.843 0.423 0.674
0.006 0.310 0.117
0.024 0.714 0.391
0.168 0.006 0.844
0.182 0.063 0.350
0.223 0.594 0.198
0.228 0.422 0.388
0.240 0.618 0.697
0.304 0.449 0.894
0.327 0.904 0.053
0.330 0.915 0.548
0.493 0.215 0.148
0.498 0.177 0.661
0.502 0.823 0.339
0.507 0.785 0.852
0.670 0.085 0.452
0.673 0.096 0.947
0.696 0.551 0.106
0.760 0.382 0.303
0.772 0.578 0.612
0.777 0.406 0.802
0.818 0.937 0.650
0.832 0.994 0.156
0.976 0.286 0.609
0.994 0.690 0.883
```

Principal peaks in the range 2θ from 10° to 90°, low angle first:
2θ 22.51, intensity 37; 2θ 22.79, intensity 47; 2θ 23.25, intensity 41; 2θ 23.86, intensity 31; 2θ 24.18, intensity 41; 2θ 30.82, intensity 100; 2θ 35.04, intensity 77; 2θ 35.45, intensity 42; 2θ 38.74, intensity 41; 2θ 63.39, intensity 31